Diffraction record for Ac2VSbO6. The powder diffraction line list is computed, not measured: it uses the PBE+U geometry in Alexandria and Cu Kα (weighted mean of Kα1 and Kα2).
Kinematic intensities with the Lorentz-polarization factor, no thermal factor.

Largest 10 diffraction maxima, in order of rising 2θ, 5° ≤ 2θ ≤ 70°:
Position (°2θ), I_rel
17.39, 27
22.13, 15
28.28, 100
31.49, 40
35.19, 11
36.19, 19
41.96, 18
45.14, 22
47.94, 25
54.12, 34

Crystal structure
```
data_Ac2VSbO6
_cell_length_a 5.681
_cell_length_b 5.681
_cell_length_c 5.101
_cell_angle_alpha 90.00
_cell_angle_beta 90.00
_cell_angle_gamma 90.00
_symmetry_space_group_name_H-M 'P 4 m m'
_symmetry_Int_Tables_number 99
_symmetry_space_group_name_Hall 'P 4 -2'
loop_
_atom_site_label
_atom_site_type_symbol
_atom_site_fract_x
_atom_site_fract_y
_atom_site_fract_z
_atom_site_occupancy
Ac1 Ac 0.000 0.500 0.000 1
V1 V 0.000 0.000 0.566 1
Sb1 Sb 0.500 0.500 0.604 1
O1 O 0.000 0.000 0.191 1
O2 O 0.236 0.236 0.699 1
O3 O 0.500 0.500 0.013 1
```